# 1
# K4Np6Cl19
Computed powder X-ray diffraction pattern, Cu Ka. Input: a cell relaxed with PBE.
Peak positions follow from Bragg's law for the DFT cell and can differ from measured ones.

Most intense lines, 10° ≤ 2θ ≤ 90°, in order of rising 2θ:
2θ = 10.0°, I = 86, hkl 1 1 0; 2θ = 14.2°, I = 56, hkl 2 0 0; 2θ = 22.6°, I = 100, hkl 3 1 0; 2θ = 26.8°, I = 92, hkl 3 2 1; 2θ = 35.3°, I = 29, hkl 4 2 2; 2θ = 36.8°, I = 73, hkl 4 1 3; 2θ = 42.3°, I = 23, hkl 5 0 3; 2θ = 43.6°, I = 45, hkl 6 0 0; 2θ = 44.9°, I = 27, hkl 5 3 2; 2θ = 64.4°, I = 26, hkl 7 3 4

Structure:
```
data_K4Np6Cl19
_symmetry_space_group_name_H-M 'I 2 3'
_symmetry_Int_Tables_number 197
_symmetry_space_group_name_Hall 'I 2 2 3'
_cell_length_a 12.453
_cell_length_b 12.453
_cell_length_c 12.453
_cell_angle_alpha 90.00
_cell_angle_beta 90.00
_cell_angle_gamma 90.00
loop_
_atom_site_label
_atom_site_fract_x
_atom_site_fract_y
_atom_site_fract_z
K1 0.143 0.143 0.857
Np1 0.000 0.337 0.500
Cl1 0.000 0.000 0.000
Cl2 0.000 0.000 0.350
Cl3 0.024 0.309 0.281
```

# 2
# ZnSnP4O12
Computed powder X-ray diffraction pattern, Cu Ka. Input: a cell relaxed with PBE.
Peak positions follow from Bragg's law for the DFT cell and can differ from measured ones.

Most intense lines, 10° ≤ 2θ ≤ 90°, in order of rising 2θ:
2θ = 12.4°, I = 34, hkl 1 1 0; 2θ = 18.7°, I = 68, hkl 1 1 1; 2θ = 19.3°, I = 71, hkl 1 1 -2; 2θ = 24.4°, I = 43, hkl 3 1 -2; 2θ = 27.1°, I = 100, hkl 0 2 2; 2θ = 27.4°, I = 24, hkl 3 1 0; 2θ = 28.3°, I = 32, hkl 1 3 0; 2θ = 34.5°, I = 36, hkl 4 2 -2; 2θ = 36.8°, I = 20, hkl 4 0 -4; 2θ = 37.7°, I = 21, hkl 3 3 0

Structure:
```
data_ZnSnP4O12
_symmetry_space_group_name_H-M 'C 1 2/c 1'
_symmetry_Int_Tables_number 15
_symmetry_space_group_name_Hall '-C 2yc'
_cell_length_a 12.248
_cell_length_b 9.932
_cell_length_c 10.440
_cell_angle_alpha 90.00
_cell_angle_beta 122.49
_cell_angle_gamma 90.00
loop_
_atom_site_label
_atom_site_fract_x
_atom_site_fract_y
_atom_site_fract_z
Zn1 0.000 0.185 0.250
Sn1 0.000 0.500 0.000
P1 0.214 0.053 0.967
P2 0.226 0.240 0.194
O1 0.107 0.293 0.192
O2 0.118 0.059 0.408
O3 0.146 0.474 0.917
O4 0.161 0.167 0.032
O5 0.179 0.343 0.674
O6 0.200 0.131 0.821
```

# 3
# NaCaAlH2OF6
Computed powder X-ray diffraction pattern, Cu Ka. Input: a cell relaxed with PBE.
Peak positions follow from Bragg's law for the DFT cell and can differ from measured ones.

Most intense lines, 10° ≤ 2θ ≤ 90°, in order of rising 2θ:
2θ = 21.9°, I = 42, hkl 0 0 4; 2θ = 22.5°, I = 100, hkl 1 1 0; 2θ = 30.4°, I = 58, hkl 1 1 -4; 2θ = 31.9°, I = 41, hkl 2 0 0; 2θ = 32.6°, I = 41, hkl 0 2 1; 2θ = 42.7°, I = 37, hkl 0 2 5; 2θ = 44.6°, I = 38, hkl 0 0 8; 2θ = 45.8°, I = 94, hkl 2 2 -1; 2θ = 46.0°, I = 43, hkl 1 0 -8; 2θ = 55.2°, I = 31, hkl 1 3 3

Structure:
```
data_NaCaAlH2OF6
_symmetry_space_group_name_H-M 'P 1 21/c 1'
_symmetry_Int_Tables_number 14
_symmetry_space_group_name_Hall '-P 2ybc'
_cell_length_a 5.643
_cell_length_b 5.577
_cell_length_c 16.339
_cell_angle_alpha 90.00
_cell_angle_beta 95.57
_cell_angle_gamma 90.00
loop_
_atom_site_label
_atom_site_fract_x
_atom_site_fract_y
_atom_site_fract_z
Na1 0.245 0.130 0.252
Ca1 0.309 0.665 0.402
Al1 0.220 0.668 0.139
H1 0.196 0.096 0.051
H2 0.250 0.178 0.499
O1 0.300 0.155 0.010
F1 0.054 0.543 0.624
F2 0.055 0.503 0.873
F3 0.183 0.693 0.249
F4 0.249 0.650 0.029
F5 0.409 0.096 0.659
F6 0.490 0.643 0.656
```

# 4
# ScBe2IF
Computed powder X-ray diffraction pattern, Cu Ka. Input: a cell relaxed with PBE.
Peak positions follow from Bragg's law for the DFT cell and can differ from measured ones.

Most intense lines, 10° ≤ 2θ ≤ 90°, in order of rising 2θ:
2θ = 16.8°, I = 100, hkl 1 0 0; 2θ = 23.8°, I = 60, hkl 1 1 0; 2θ = 29.1°, I = 29, hkl 1 1 1; 2θ = 33.4°, I = 16, hkl 0 0 2; 2θ = 33.9°, I = 31, hkl 2 0 0; 2θ = 37.6°, I = 26, hkl 1 0 2; 2θ = 38.1°, I = 25, hkl 2 1 0; 2θ = 41.4°, I = 27, hkl 1 1 2; 2θ = 48.3°, I = 22, hkl 2 0 2; 2θ = 51.5°, I = 21, hkl 2 1 2

Structure:
```
data_ScBe2IF
_symmetry_space_group_name_H-M 'P 4/m m m'
_symmetry_Int_Tables_number 123
_symmetry_space_group_name_Hall '-P 4 2'
_cell_length_a 5.281
_cell_length_b 5.281
_cell_length_c 5.371
_cell_angle_alpha 90.00
_cell_angle_beta 90.00
_cell_angle_gamma 90.00
loop_
_atom_site_label
_atom_site_fract_x
_atom_site_fract_y
_atom_site_fract_z
Sc1 0.000 0.000 0.000
Be1 0.000 0.500 0.000
I1 0.000 0.000 0.500
F1 0.500 0.500 0.500
```

# 5
# SmAl20Cr2
Computed powder X-ray diffraction pattern, Cu Ka. Input: a cell relaxed with PBE.
Peak positions follow from Bragg's law for the DFT cell and can differ from measured ones.

Most intense lines, 10° ≤ 2θ ≤ 90°, in order of rising 2θ:
2θ = 17.4°, I = 58, hkl 2 2 0; 2θ = 20.4°, I = 97, hkl 3 1 1; 2θ = 30.3°, I = 28, hkl 4 2 2; 2θ = 35.1°, I = 50, hkl 4 4 0; 2θ = 36.8°, I = 100, hkl 5 3 1; 2θ = 39.4°, I = 70, hkl 6 2 0; 2θ = 41.0°, I = 96, hkl 5 3 3; 2θ = 41.5°, I = 71, hkl 6 2 2; 2θ = 53.8°, I = 47, hkl 6 6 0; 2θ = 74.3°, I = 42, hkl 8 8 0

Structure:
Unit cell a=14.449 b=14.449 c=14.449 alpha=90.00 beta=90.00 gamma=90.00
Space group Fd-3m (No. 227, origin choice 2)
Symmetry-distinct sites (fractional):
Sm1 0.125 0.125 0.125
Al1 0.000 0.000 0.000
Al2 0.012 0.375 0.875
Al3 0.058 0.058 0.327
Cr1 0.000 0.000 0.500

# 6
# Tl4Sb3Au5
Computed powder X-ray diffraction pattern, Cu Ka. Input: a cell relaxed with PBE.
Peak positions follow from Bragg's law for the DFT cell and can differ from measured ones.

Most intense lines, 10° ≤ 2θ ≤ 90°, in order of rising 2θ:
2θ = 29.5°, I = 42, hkl -1 1 2; 2θ = 30.5°, I = 69, hkl 1 0 2; 2θ = 30.7°, I = 100, hkl 1 2 -1; 2θ = 31.3°, I = 66, hkl -1 2 1; 2θ = 32.0°, I = 78, hkl 2 -1 0; 2θ = 34.5°, I = 41, hkl 2 1 -1; 2θ = 34.8°, I = 25, hkl 0 0 3; 2θ = 38.2°, I = 57, hkl 0 2 -3; 2θ = 39.5°, I = 45, hkl 1 -3 1; 2θ = 40.1°, I = 44, hkl 0 1 3

Structure:
```
data_Tl4Sb3Au5
_symmetry_space_group_name_H-M 'P -1'
_symmetry_Int_Tables_number 2
_symmetry_space_group_name_Hall '-P 1'
_cell_length_a 5.877
_cell_length_b 7.216
_cell_length_c 8.098
_cell_angle_alpha 102.26
_cell_angle_beta 100.34
_cell_angle_gamma 96.22
loop_
_atom_site_label
_atom_site_fract_x
_atom_site_fract_y
_atom_site_fract_z
Tl1 0.060 0.158 0.373
Tl2 0.211 0.374 0.893
Sb1 0.295 0.624 0.391
Sb2 0.500 0.000 0.000
Au1 0.000 0.000 0.000
Au2 0.471 0.664 0.742
Au3 0.479 0.062 0.672
```

# 7
# AgSbSBr
Computed powder X-ray diffraction pattern, Cu Ka. Input: a cell relaxed with PBE.
Peak positions follow from Bragg's law for the DFT cell and can differ from measured ones.

Most intense lines, 10° ≤ 2θ ≤ 90°, in order of rising 2θ:
2θ = 22.6°, I = 46, hkl 1 1 0; 2θ = 28.6°, I = 100, hkl 0 0 2; 2θ = 29.1°, I = 29, hkl 1 1 1; 2θ = 30.7°, I = 96, hkl 2 0 -1; 2θ = 32.9°, I = 86, hkl 0 2 0; 2θ = 38.3°, I = 37, hkl 2 0 1; 2θ = 44.1°, I = 59, hkl 0 2 2; 2θ = 45.6°, I = 63, hkl 2 2 -1; 2θ = 46.3°, I = 28, hkl 2 0 -3; 2θ = 51.3°, I = 31, hkl 2 2 1

Structure:
```
data_AgSbSBr
_symmetry_space_group_name_H-M 'C 1 m 1'
_symmetry_Int_Tables_number 8
_symmetry_space_group_name_Hall 'C -2y'
_cell_length_a 5.915
_cell_length_b 5.447
_cell_length_c 6.507
_cell_angle_alpha 90.00
_cell_angle_beta 106.16
_cell_angle_gamma 90.00
loop_
_atom_site_label
_atom_site_fract_x
_atom_site_fract_y
_atom_site_fract_z
Ag1 0.000 0.000 0.000
Sb1 0.228 0.000 0.450
S1 0.363 0.500 0.575
Br1 0.011 0.500 0.018
```

# 8
# LiTl5Pd6
Computed powder X-ray diffraction pattern, Cu Ka. Input: a cell relaxed with PBE.
Peak positions follow from Bragg's law for the DFT cell and can differ from measured ones.

Most intense lines, 10° ≤ 2θ ≤ 90°, in order of rising 2θ:
2θ = 37.4°, I = 100, hkl 2 2 1; 2θ = 38.0°, I = 95, hkl 4 2 -1; 2θ = 38.7°, I = 41, hkl 6 0 0; 2θ = 39.1°, I = 46, hkl 2 0 -2; 2θ = 52.5°, I = 19, hkl 0 4 0; 2θ = 55.2°, I = 15, hkl 4 0 2; 2θ = 67.1°, I = 16, hkl 6 4 0; 2θ = 67.4°, I = 18, hkl 2 4 -2; 2θ = 69.3°, I = 16, hkl 0 2 3; 2θ = 70.5°, I = 16, hkl 6 2 -3

Structure:
```
data_LiTl5Pd6
_symmetry_space_group_name_H-M 'C 1 2/m 1'
_symmetry_Int_Tables_number 12
_symmetry_space_group_name_Hall '-C 2y'
_cell_length_a 14.581
_cell_length_b 6.974
_cell_length_c 4.610
_cell_angle_alpha 90.00
_cell_angle_beta 106.62
_cell_angle_gamma 90.00
loop_
_atom_site_label
_atom_site_fract_x
_atom_site_fract_y
_atom_site_fract_z
Li1 0.000 0.000 0.000
Tl1 0.000 0.500 0.000
Tl2 0.149 0.000 0.650
Tl3 0.176 0.500 0.673
Pd1 0.000 0.271 0.500
Pd2 0.161 0.247 0.158
```